# HoMgS
Theoretical X-ray powder pattern, λ = 1.5418 Å (Cu Kα). Input: a DFT-relaxed cell (GGA-PBE, Alexandria).

Top 10 peaks for 15° ≤ 2θ ≤ 90°, in order of falling intensity:
2theta	I/Imax
21.86	100
37.67	70
29.48	56
35.62	36
45.16	33
26.86	32
23.99	30
46.32	18
53.33	16
43.98	16

Crystal structure
a b c (Å): 7.9151 7.9151 7.9151
angles (deg): 35.12 35.12 35.12
Fractional coordinates of all 6 atoms:
Ho (0.0913, 0.0913, 0.0913)
Ho (0.9087, 0.9087, 0.9087)
Mg (0.3297, 0.3297, 0.3297)
Mg (0.6703, 0.6703, 0.6703)
S (0.2157, 0.2157, 0.2157)
S (0.7843, 0.7843, 0.7843)